# 1
Simulated powder diffraction line list of ErAsPd for Cu Kα (λ = 1.5418 Å), from a structure optimized by DFT (GGA-PBE).
Lines closer than 0.1° are merged.

abc: 7.020 4.113 7.944
angles: 90.00 90.00 90.00
Fractional coordinates of all 12 atoms:
1 Er 0.032 0.250 0.191
2 Er 0.468 0.750 0.691
3 Er 0.532 0.250 0.309
4 Er 0.968 0.750 0.809
5 As 0.247 0.250 0.879
6 As 0.253 0.750 0.379
7 As 0.747 0.250 0.621
8 As 0.753 0.750 0.121
9 Pd 0.142 0.250 0.562
10 Pd 0.358 0.750 0.062
11 Pd 0.642 0.250 0.938
12 Pd 0.858 0.750 0.438

Most intense lines, 10 to 80 degrees two-theta, sorted by position:
index  Position (°2θ)  Rel. int.
2 1 0  33.56  42.2
1 1 2  33.87  66.3
2 0 2  34.09  23.3
2 1 1  35.47  100.0
1 0 3  36.26  33.7
3 0 1  40.17  15.7
0 1 3  40.52  44.4
1 1 3  42.60  18.4
0 2 0  44.03  40.4
3 0 2  44.96  18.9
1 2 3  58.31  21.8
3 1 4  65.71  21.3

=====

# 2
Simulated powder diffraction line list of ErAsPt for Cu Kα (λ = 1.5418 Å), from a structure optimized by DFT (GGA-PBE).
Lines closer than 0.1° are merged.

abc: 4.266 4.266 15.447
angles: 90.00 90.00 120.00
Fractional coordinates of all 12 atoms:
1 Er 0.000 0.000 0.000
2 Er 0.000 0.000 0.250
3 Er 0.000 0.000 0.500
4 Er 0.000 0.000 0.750
5 As 0.333 0.667 0.116
6 As 0.333 0.667 0.384
7 As 0.667 0.333 0.616
8 As 0.667 0.333 0.884
9 Pt 0.333 0.667 0.635
10 Pt 0.333 0.667 0.865
11 Pt 0.667 0.333 0.135
12 Pt 0.667 0.333 0.365

Most intense lines, 10 to 80 degrees two-theta, sorted by position:
index  Position (°2θ)  Rel. int.
0 0 4  23.03  4.5
1 0 1  24.78  15.6
1 0 4  33.57  100.0
1 0 5  37.96  11.2
1 1 0  42.37  57.1
0 0 8  47.06  12.0
2 0 4  55.11  24.6
1 0 9  59.37  4.8
1 1 8  65.17  27.2
2 1 4  71.89  22.7
3 0 0  77.50  9.8
1 0 12  78.72  6.9

=====

# 3
Simulated powder diffraction line list of Er2As7Rh12 for Cu Kα (λ = 1.5418 Å), from a structure optimized by DFT (GGA-PBE).
Lines closer than 0.1° are merged.

abc: 9.996 9.996 3.914
angles: 90.00 90.00 120.00
Fractional coordinates of all 21 atoms:
1 Er 0.000 0.000 0.000
2 Er 0.333 0.667 0.499
3 As 0.072 0.622 0.999
4 As 0.260 0.046 0.501
5 As 0.378 0.450 0.999
6 As 0.550 0.928 0.999
7 As 0.667 0.333 0.339
8 As 0.786 0.740 0.501
9 As 0.954 0.214 0.501
10 Rh 0.048 0.783 0.502
11 Rh 0.116 0.402 0.001
12 Rh 0.217 0.266 0.502
13 Rh 0.285 0.884 0.001
14 Rh 0.406 0.219 0.000
15 Rh 0.514 0.064 0.502
16 Rh 0.550 0.486 0.502
17 Rh 0.598 0.715 0.001
18 Rh 0.734 0.952 0.502
19 Rh 0.781 0.187 0.000
20 Rh 0.813 0.594 0.000
21 Rh 0.936 0.450 0.502

Most intense lines, 10 to 80 degrees two-theta, sorted by position:
index  Position (°2θ)  Rel. int.
3 -1 1  35.77  100.0
2 2 0  35.94  10.2
3 0 1  38.77  7.1
4 0 0  41.74  6.9
3 1 1  44.26  13.6
2 3 0  45.68  7.0
0 0 2  46.40  18.1
4 1 0  48.17  25.5
5 -2 1  51.61  6.3
2 4 1  61.43  6.3
5 -4 2  69.11  14.8
3 -1 3  79.00  9.7

=====

# 4
Simulated powder diffraction line list of EuAs for Cu Kα (λ = 1.5418 Å), from a structure optimized by DFT (GGA-PBE).
Lines closer than 0.1° are merged.

abc: 7.968 7.968 6.254
angles: 90.00 90.00 120.00
Fractional coordinates of all 12 atoms:
1 Eu 0.000 0.353 0.000
2 Eu 0.000 0.685 0.500
3 Eu 0.315 0.315 0.500
4 Eu 0.353 0.000 0.000
5 Eu 0.647 0.647 0.000
6 Eu 0.685 0.000 0.500
7 As 0.000 0.000 0.210
8 As 0.000 0.000 0.790
9 As 0.333 0.667 0.278
10 As 0.333 0.667 0.722
11 As 0.667 0.333 0.278
12 As 0.667 0.333 0.722

Most intense lines, 10 to 80 degrees two-theta, sorted by position:
index  Position (°2θ)  Rel. int.
1 1 1  26.53  100.0
1 1 2  36.53  54.9
3 0 0  39.16  52.8
2 2 1  47.93  18.4
1 1 3  49.34  18.5
2 2 2  54.63  16.2
4 1 1  63.55  14.4
2 2 3  64.73  7.5
4 1 2  69.25  15.2
3 3 0  70.96  9.9
3 0 4  73.20  13.3
4 1 3  78.33  8.0